The following is a theoretical X-ray powder pattern of ZnPd5Pb. It was derived from a GGA-PBE-relaxed structure, using Cu Kα.

Crystal structure
Lattice parameters (Å, degrees): 5.695 7.925 5.505 90.00 101.33 90.00
Space group C2/m (No. 12)
Inequivalent atoms, fractional coordinates:
Zn (0.000, 0.000, 0.000) [2 per cell]
Pd (0.000, 0.000, 0.500) [2 per cell]
Pd (0.196, 0.262, 0.227) [8 per cell]
Pb (0.000, 0.500, 0.500) [2 per cell]

Main lines, sorted by position (2θ = 15–90°):
index  2θ (°)  d/Å  intensity
0 0 1  16.42  5.398  17
1 1 1  27.54  3.238  13
0 2 1  27.93  3.194  29
2 0 1  39.13  2.302  20
2 2 0  39.48  2.282  65
0 2 2  40.42  2.232  100
2 0 -2  41.73  2.165  33
0 4 0  45.80  1.981  26
2 0 2  51.52  1.774  14
2 4 -2  63.67  1.462  18

=====

The following is a theoretical X-ray powder pattern of CaScPb. It was derived from a GGA-PBE-relaxed structure, using Cu Kα.

Crystal structure
Lattice parameters (Å, degrees): 4.677 4.677 8.090 90.00 90.00 90.00
Space group P4/nmm (No. 129, origin choice 2)
Inequivalent atoms, fractional coordinates:
Ca (0.250, 0.250, 0.153) [2 per cell]
Sc (0.250, 0.750, 0.500) [2 per cell]
Pb (0.250, 0.250, 0.745) [2 per cell]

Main lines, sorted by position (2θ = 15–90°):
index  2θ (°)  d/Å  intensity
0 0 2  21.96  4.048  100
1 1 0  26.96  3.307  35
1 1 2  35.05  2.560  61
2 0 0  38.52  2.337  61
0 0 4  44.76  2.025  46
2 2 0  55.60  1.653  32
1 0 5  60.52  1.530  31
3 1 2  67.42  1.389  18
2 1 5  74.06  1.280  24
3 0 5  86.70  1.123  11

=====

The following is a theoretical X-ray powder pattern of Na4SnPb. It was derived from a GGA-PBE-relaxed structure, using Cu Kα.

Crystal structure
Lattice parameters (Å, degrees): 16.846 8.470 5.651 90.00 108.28 90.00
Space group C2/m (No. 12)
Inequivalent atoms, fractional coordinates:
Na (0.000, 0.174, 0.000) [4 per cell]
Na (0.144, 0.233, 0.642) [8 per cell]
Na (0.187, 0.500, 0.209) [4 per cell]
Sn (0.019, 0.500, 0.760) [4 per cell]
Pb (0.192, 0.000, 0.184) [4 per cell]

Main lines, sorted by position (2θ = 15–90°):
index  2θ (°)  d/Å  intensity
1 1 -1  18.88  4.700  57
3 1 0  19.67  4.512  100
0 2 0  20.98  4.235  51
1 1 1  21.75  4.086  20
2 2 1  31.08  2.878  25
4 2 -1  31.48  2.842  43
4 0 1  31.83  2.811  22
3 3 0  36.00  2.495  26
0 2 2  39.78  2.266  20
4 2 -2  40.20  2.243  20

=====

The following is a theoretical X-ray powder pattern of Tb3Ho7Cd. It was derived from a GGA-PBE-relaxed structure, using Cu Kα.

Crystal structure
Lattice parameters (Å, degrees): 6.9227 6.9227 8.4977 90.00 90.00 120.00
Space group P3m1 (No. 156)
Inequivalent atoms, fractional coordinates:
Tb (0.1682, 0.3364, 0.0000) [3 per cell]
Ho (0.0058, 0.5029, 0.3388) [3 per cell]
Ho (0.3319, 0.1660, 0.6629) [3 per cell]
Ho (0.3333, 0.6667, 0.6705) [1 per cell]
Cd (0.0000, 0.0000, 0.3400) [1 per cell]

Main lines, sorted by position (2θ = 15–90°):
index  2θ (°)  d/Å  intensity
0 1 1  18.11  4.899  6
2 0 1  31.63  2.828  100
0 2 2  36.69  2.449  51
2 2 0  52.86  1.732  35
2 2 3  62.91  1.477  31
0 4 1  62.97  1.476  10
4 0 2  66.11  1.413  9
4 2 1  86.70  1.123  9
2 2 6  89.39  1.096  8
2 4 2  89.53  1.095  8